This entry pairs a crystal structure of Pr4Se3Br4 with its computed XRD peak list. Radiation: Cu Kα. Structure: the GGA-PBE geometry in Alexandria.

Peak list (10 most intense, 2θ = 5–70°, low angle first)
| (hkl) | 2theta | d/Å | I/Imax |
| --- | --- | --- | --- |
| 0 0 4 | 19.7 | 4.512 | 32 |
| 1 2 1 | 31.3 | 2.862 | 100 |
| 1 1 4 | 32.2 | 2.778 | 77 |
| 0 3 3 | 33.9 | 2.642 | 55 |
| 1 0 5 | 34.1 | 2.632 | 75 |
| 0 2 6 | 36.1 | 2.485 | 60 |
| 1 3 2 | 39.9 | 2.261 | 52 |
| 1 2 7 | 47.2 | 1.926 | 35 |
| 2 0 0 | 47.3 | 1.922 | 33 |
| 1 2 11 | 65.4 | 1.428 | 37 |

Cell and atoms:
a = 3.845 Å, b = 8.822 Å, c = 18.047 Å
α = 90.00°, β = 90.00°, γ = 90.00°
Space group Immm (No. 71)
Inequivalent atoms, fractional coordinates:
1 Pr 0.000 0.000 0.225 x4
2 Pr 0.000 0.231 0.000 x4
3 Se 0.000 0.000 0.500 x2
4 Se 0.000 0.500 0.409 x4
5 Br 0.000 0.317 0.171 x8